This entry pairs a crystal structure of K5SnSb3 with its calculated powder XRD pattern. Radiation: a wavelength of 1.5418 Å. Structure: the PBE geometry in the Materials Project.
Peak positions follow from Bragg's law for the DFT cell and can differ from measured ones.

Structure:
Lattice parameters (Å, degrees): 9.9608 8.8843 19.0112 90.00 121.31 90.00
Space group P2_1/c (No. 14)
Asymmetric unit:
K  0.0529  0.0074  0.2447 [4 per cell]
K  0.2389  0.5196  0.5775 [4 per cell]
K  0.3360  0.6594  0.2594 [4 per cell]
K  0.3426  0.1720  0.9205 [4 per cell]
K  0.3886  0.0062  0.5865 [4 per cell]
Sn  0.0135  0.1432  0.5867 [4 per cell]
Sb  0.0166  0.1880  0.4338 [4 per cell]
Sb  0.2620  0.7371  0.4196 [4 per cell]
Sb  0.3078  0.2338  0.7274 [4 per cell]

Peak list (10 most intense, 10° ≤ 2θ ≤ 80°, most intense first)
hkl, 2theta, Rel. int.
3 0 0, 31.53, 100.0
1 0 0, 10.41, 78.5
1 2 -4, 27.50, 73.0
0 0 6, 33.10, 71.8
1 2 2, 27.44, 63.2
1 0 -4, 18.66, 51.4
3 0 -6, 31.68, 45.8
0 2 0, 19.99, 43.8
1 3 2, 35.71, 41.1
2 1 1, 26.24, 38.0